This entry pairs a crystal structure of Zr5InRu4 with its calculated powder diffractogram. Radiation: Cu Kα X-rays. Structure: the PBE geometry in Alexandria.
Intensities are scaled so that the largest is 100.

Top 10 peaks for 2θ = 10–80°, most intense first:
- 37.7 deg, intensity 100, (1 0 5)
- 39.2 deg, intensity 56, (1 1 0)
- 70.1 deg, intensity 31, (2 1 5)
- 56.7 deg, intensity 19, (2 0 0)
- 41.5 deg, intensity 13, (1 0 6)
- 67.0 deg, intensity 8, (1 1 10)
- 71.9 deg, intensity 8, (1 1 11)
- 34.3 deg, intensity 7, (1 0 4)
- 72.6 deg, intensity 5, (2 1 6)
- 51.9 deg, intensity 5, (0 0 10)

Atomic structure:
a b c (Å): 3.249 3.249 17.606
angles (deg): 90.00 90.00 90.00
Space group P4/mmm (No. 123)
Symmetry-distinct sites (fractional):
Zr 0.000 0.000 0.000 x1
Zr 0.000 0.000 0.188 x2
Zr 0.000 0.000 0.376 x2
In 0.500 0.500 0.500 x1
Ru 0.500 0.500 0.093 x2
Ru 0.500 0.500 0.281 x2